Simulated X-ray powder pattern of Sm6Tm3Pu for Cu Kα (weighted mean of Kα1 and Kα2), from a DFT-relaxed cell (PBE, Alexandria).

Cell and atoms:
```
data_Sm6Tm3Pu
_symmetry_space_group_name_H-M 'P 1 21/c 1'
_symmetry_Int_Tables_number 14
_cell_length_a 5.578
_cell_length_b 9.997
_cell_length_c 12.153
_cell_angle_alpha 90.00
_cell_angle_beta 102.54
_cell_angle_gamma 90.00
loop_
_symmetry_equiv_pos_as_xyz
'x,y,z'
'-x,-y,-z'
'-x,y+1/2,-z+1/2'
'x,-y+1/2,z+1/2'
loop_
_atom_site_label
_atom_site_type_symbol
_atom_site_fract_x
_atom_site_fract_y
_atom_site_fract_z
Sm1 Sm 0.002 0.186 0.000
Sm2 Sm 0.121 0.002 0.761
Sm3 Sm 0.416 0.171 0.352
Tm1 Tm 0.416 0.667 0.866
Tm2 Tm 0.500 0.000 0.000
Pu1 Pu 0.000 0.000 0.500
```

Main lines, in order of falling intensity (10 to 80 degrees two-theta):
h k l	d (Å)	Position (°2θ)	I_rel
1 3 -1	2.838	31.52	100
0 3 3	2.549	35.21	53
1 0 -4	2.880	31.05	38
1 1 3	2.797	32.00	31
2 0 -2	2.707	33.09	26
2 0 0	2.723	32.90	22
2 3 -5	1.727	53.03	20
1 2 0	3.681	24.18	18
3 3 -1	1.621	56.79	17
2 3 3	1.743	52.51	16
1 0 2	3.637	24.47	16
1 2 2	2.941	30.39	15

Simulated X-ray powder pattern of SmTm2Pu for Cu Kα (weighted mean of Kα1 and Kα2), from a DFT-relaxed cell (PBE, Alexandria).

Cell and atoms:
```
data_SmTm2Pu
_symmetry_space_group_name_H-M 'P 4/m m m'
_symmetry_Int_Tables_number 123
_symmetry_space_group_name_Hall '-P 4 2'
_cell_length_a 4.950
_cell_length_b 4.950
_cell_length_c 4.939
_cell_angle_alpha 90.00
_cell_angle_beta 90.00
_cell_angle_gamma 90.00
loop_
_atom_site_label
_atom_site_type_symbol
_atom_site_fract_x
_atom_site_fract_y
_atom_site_fract_z
Sm1 Sm 0.000 0.000 0.000
Tm1 Tm 0.000 0.500 0.500
Pu1 Pu 0.500 0.500 0.000
```

Main lines, in order of falling intensity (10 to 80 degrees two-theta):
h k l	d (Å)	Position (°2θ)	I_rel
1 1 1	2.856	31.32	100
2 0 0	2.473	36.33	51
2 2 0	1.749	52.31	36
3 1 1	1.492	62.21	29
1 1 3	1.490	62.33	14
2 2 2	1.428	65.35	12
4 0 0	1.238	77.06	4
1 0 0	4.949	17.92	3
1 0 1	3.497	25.47	3
0 0 4	1.235	77.27	2
2 1 0	2.212	40.80	2
2 1 1	2.020	44.88	1

Simulated X-ray powder pattern of Sm14TmPu for Cu Kα (weighted mean of Kα1 and Kα2), from a DFT-relaxed cell (PBE, Alexandria).

Cell and atoms:
```
data_Sm14TmPu
_symmetry_space_group_name_H-M 'A m m 2'
_symmetry_Int_Tables_number 38
_cell_length_a 11.580
_cell_length_b 7.324
_cell_length_c 12.662
_cell_angle_alpha 90.00
_cell_angle_beta 90.00
_cell_angle_gamma 90.00
loop_
_symmetry_equiv_pos_as_xyz
'x,y,z'
'-x,-y,z'
'-x,y,z'
'x,-y,z'
'x,y+1/2,z+1/2'
'-x,-y+1/2,z+1/2'
'-x,y+1/2,z+1/2'
'x,-y+1/2,z+1/2'
loop_
_atom_site_label
_atom_site_type_symbol
_atom_site_fract_x
_atom_site_fract_y
_atom_site_fract_z
Sm1 Sm 0.000 0.000 0.000
Sm2 Sm 0.000 0.000 0.500
Sm3 Sm 0.000 0.250 0.250
Sm4 Sm 0.251 0.000 0.333
Sm5 Sm 0.253 0.000 0.834
Sm6 Sm 0.256 0.247 0.081
Sm7 Sm 0.500 0.249 0.751
Tm1 Tm 0.500 0.000 0.500
Pu1 Pu 0.500 0.000 0.999
```

Main lines, in order of falling intensity (10 to 80 degrees two-theta):
h k l	d (Å)	Position (°2θ)	I_rel
2 2 2	2.780	32.21	100
4 0 0	2.895	30.89	25
0 0 4	3.168	28.16	24
4 4 0	1.546	59.80	23
6 2 2	1.648	55.77	21
0 4 0	1.829	49.85	20
2 0 8	1.528	60.60	16
4 0 4	2.137	42.29	16
6 0 8	1.225	78.04	8
4 4 4	1.390	67.38	4
8 0 4	1.317	71.68	3
0 4 4	1.584	58.24	3

Simulated X-ray powder pattern of Sm3Tm8Pu for Cu Kα (weighted mean of Kα1 and Kα2), from a DFT-relaxed cell (PBE, Alexandria).

Cell and atoms:
```
data_Sm3Tm8Pu
_symmetry_space_group_name_H-M 'I -4 2 m'
_symmetry_Int_Tables_number 121
_symmetry_space_group_name_Hall 'I -4 2'
_cell_length_a 8.600
_cell_length_b 8.600
_cell_length_c 11.246
_cell_angle_alpha 90.00
_cell_angle_beta 90.00
_cell_angle_gamma 90.00
loop_
_atom_site_label
_atom_site_type_symbol
_atom_site_fract_x
_atom_site_fract_y
_atom_site_fract_z
Sm1 Sm 0.000 0.000 0.000
Sm2 Sm 0.000 0.500 0.250
Tm1 Tm 0.126 0.126 0.268
Tm2 Tm 0.230 0.230 0.534
Pu1 Pu 0.000 0.000 0.500
```

Main lines, in order of falling intensity (10 to 80 degrees two-theta):
h k l	d (Å)	Position (°2θ)	I_rel
3 1 2	2.448	36.71	100
2 2 0	3.040	29.38	72
4 0 2	2.009	45.13	53
2 1 1	3.639	24.46	51
0 0 4	2.812	31.83	51
1 1 0	6.081	14.57	39
2 2 4	2.064	43.86	37
2 1 3	2.684	33.38	36
3 1 6	1.543	59.94	34
1 1 2	4.129	21.52	31
5 1 2	1.615	57.01	31
1 1 4	2.552	35.17	29

Simulated X-ray powder pattern of Sm12Y7Pu for Cu Kα (weighted mean of Kα1 and Kα2), from a DFT-relaxed cell (PBE, Alexandria).

Cell and atoms:
```
data_Sm12Y7Pu
_symmetry_space_group_name_H-M 'I m -3 m'
_symmetry_Int_Tables_number 229
_symmetry_space_group_name_Hall '-I 4 2 3'
_cell_length_a 11.478
_cell_length_b 11.478
_cell_length_c 11.478
_cell_angle_alpha 90.00
_cell_angle_beta 90.00
_cell_angle_gamma 90.00
loop_
_atom_site_label
_atom_site_type_symbol
_atom_site_fract_x
_atom_site_fract_y
_atom_site_fract_z
Sm1 Sm 0.000 0.248 0.248
Y1 Y 0.000 0.000 0.500
Y2 Y 0.250 0.250 0.250
Pu1 Pu 0.000 0.000 0.000
```

Main lines, in order of falling intensity (10 to 80 degrees two-theta):
h k l	d (Å)	Position (°2θ)	I_rel
2 2 2	3.314	26.91	100
4 0 0	2.870	31.17	97
4 4 0	2.029	44.66	72
6 2 2	1.730	52.91	47
8 4 0	1.283	73.84	32
4 4 4	1.657	55.46	25
6 6 2	1.317	71.68	19
2 0 0	5.739	15.44	16
8 0 0	1.435	65.00	12
4 2 0	2.567	34.96	8
1 1 0	8.116	10.90	7
2 2 0	4.058	21.90	5

Simulated X-ray powder pattern of Sm3Y6Pu for Cu Kα (weighted mean of Kα1 and Kα2), from a DFT-relaxed cell (PBE, Alexandria).

Cell and atoms:
```
data_Sm3Y6Pu
_symmetry_space_group_name_H-M 'R 3'
_symmetry_Int_Tables_number 146
_symmetry_space_group_name_Hall 'R 3'
_cell_length_a 9.8823
_cell_length_b 9.8823
_cell_length_c 11.6341
_cell_angle_alpha 90.00
_cell_angle_beta 90.00
_cell_angle_gamma 120.00
loop_
_atom_site_label
_atom_site_type_symbol
_atom_site_fract_x
_atom_site_fract_y
_atom_site_fract_z
Sm1 Sm 0.0000 0.0000 0.0000
Sm2 Sm 0.0000 0.0000 0.2527
Sm3 Sm 0.0000 0.0000 0.7389
Y1 Y 0.0031 0.3238 0.5195
Y2 Y 0.0055 0.6708 0.0232
Pu1 Pu 0.0000 0.0000 0.4987
```

Main lines, in order of falling intensity (10 to 80 degrees two-theta):
h k l	d (Å)	Position (°2θ)	I_rel
3 0 0	2.853	31.36	100
1 1 0	4.941	17.95	42
2 -1 3	3.051	29.28	36
1 0 4	2.754	32.51	28
3 -1 4	2.163	41.76	28
3 3 0	1.647	55.82	19
0 2 4	2.405	37.38	19
1 3 4	1.839	49.57	18
2 2 3	2.084	43.43	12
6 0 0	1.426	65.43	12
5 -1 3	1.683	54.54	12
3 2 4	1.627	56.55	11

Simulated X-ray powder pattern of Sm8Y6Pu for Cu Kα (weighted mean of Kα1 and Kα2), from a DFT-relaxed cell (PBE, Alexandria).

Cell and atoms:
```
data_Sm8Y6Pu
_symmetry_space_group_name_H-M 'P -3'
_symmetry_Int_Tables_number 147
_cell_length_a 9.8828
_cell_length_b 9.8828
_cell_length_c 5.8872
_cell_angle_alpha 90.00
_cell_angle_beta 90.00
_cell_angle_gamma 120.00
loop_
_symmetry_equiv_pos_as_xyz
'x,y,z'
'-x,-y,-z'
'-y,x-y,z'
'y,-x+y,-z'
'-x+y,-x,z'
'x-y,x,-z'
loop_
_atom_site_label
_atom_site_type_symbol
_atom_site_fract_x
_atom_site_fract_y
_atom_site_fract_z
Sm1 Sm 0.0518 0.7870 0.2401
Sm2 Sm 0.3333 0.6667 0.2352
Y1 Y 0.0937 0.6196 0.7483
Pu1 Pu 0.0000 0.0000 0.5000
```

Main lines, in order of falling intensity (10 to 80 degrees two-theta):
h k l	d (Å)	Position (°2θ)	I_rel
3 -1 1	2.835	31.56	100
1 2 2	2.177	41.48	26
4 1 0	1.868	48.76	22
1 2 3	1.678	54.71	19
0 0 2	2.944	30.37	18
1 0 0	8.559	10.34	17
2 4 1	1.560	59.25	16
4 1 2	1.577	58.53	14
1 2 0	3.235	27.57	13
1 0 1	4.850	18.29	12
2 -1 1	3.785	23.51	10
6 -2 3	1.248	76.29	7

Simulated X-ray powder pattern of Sm2PuZn6 for Cu Kα (weighted mean of Kα1 and Kα2), from a DFT-relaxed cell (PBE, Alexandria).

Cell and atoms:
```
data_Sm2PuZn6
_symmetry_space_group_name_H-M 'P 6/m m m'
_symmetry_Int_Tables_number 191
_symmetry_space_group_name_Hall '-P 6 2'
_cell_length_a 7.9848
_cell_length_b 7.9848
_cell_length_c 3.3570
_cell_angle_alpha 90.00
_cell_angle_beta 90.00
_cell_angle_gamma 120.00
loop_
_atom_site_label
_atom_site_type_symbol
_atom_site_fract_x
_atom_site_fract_y
_atom_site_fract_z
Sm1 Sm 0.3333 0.6667 0.0000
Pu1 Pu 0.0000 0.0000 0.0000
Zn1 Zn 0.0000 0.3325 0.5000
```

Main lines, in order of falling intensity (10 to 80 degrees two-theta):
h k l	d (Å)	Position (°2θ)	I_rel
1 1 1	2.569	34.92	100
3 0 0	2.305	39.08	61
2 2 1	1.716	53.40	30
4 1 1	1.376	68.13	28
1 1 0	3.992	22.27	28
3 0 2	1.357	69.24	22
3 3 0	1.331	70.80	10
0 0 2	1.679	54.68	8
1 0 0	6.915	12.80	6
2 2 0	1.996	45.44	4
1 1 2	1.547	59.77	4
4 1 0	1.509	61.44	4